Record 1
CsYTe2: computed XRD peak list (a wavelength of 1.5418 Å), based on a structure optimized by DFT (GGA-PBE).
Lines closer than 0.1° are merged.

Most intense lines, 10 to 90 degrees two-theta, sorted by position:
2theta  d (Å)  I_rel  h k l
22.8  3.892  71  1 1 2
24.4  3.646  58  0 1 3
26.4  3.382  79  2 1 0
26.5  3.365  73  1 1 3
27.1  3.289  100  2 0 3
31.5  2.844  23  2 0 4
33.6  2.669  63  0 2 0
35.6  2.519  41  3 0 3
41.3  2.188  54  1 1 6
43.7  2.072  54  2 2 3
46.7  1.946  23  2 2 4
51.2  1.786  24  3 1 6

Structural model:
```
data_CsYTe2
_chemical_formula_sum 'Cs4 Y4 Te8'
_cell_length_a 8.742
_cell_length_b 5.337
_cell_length_c 14.978
_cell_angle_alpha 90.00
_cell_angle_beta 90.00
_cell_angle_gamma 90.00
_space_group_name_H-M_alt 'P n m a'
_space_group_IT_number 62
_space_group_name_Hall '-P 2ac 2n'
loop_
_atom_site_label
_atom_site_type_symbol
_atom_site_fract_x
_atom_site_fract_y
_atom_site_fract_z
Cs1 Cs 0.102 0.250 0.130
Y1 Y 0.069 0.750 0.384
Te1 Te 0.157 0.250 0.760
Te2 Te 0.172 0.250 0.463
```

***

Record 2
Ti4CdPd: computed XRD peak list (a wavelength of 1.5418 Å), based on a structure optimized by DFT (GGA-PBE).
Lines closer than 0.1° are merged.

Most intense lines, 10 to 90 degrees two-theta, sorted by position:
2theta  d (Å)  I_rel  h k l
14.2  6.220  23  0 0 2
28.7  3.110  9  0 0 4
31.7  2.821  19  1 0 1
37.9  2.374  100  1 0 3
43.7  2.073  13  0 0 6
44.2  2.048  34  1 1 0
53.6  1.710  6  1 1 4
63.9  1.457  16  1 1 6
64.3  1.448  10  2 0 0
76.3  1.247  7  1 0 9
77.2  1.236  22  2 1 3
81.0  1.187  8  2 0 6

Structural model:
```
data_Ti4CdPd
_chemical_formula_sum 'Ti4 Cd1 Pd1'
_cell_length_a 2.896
_cell_length_b 2.896
_cell_length_c 12.441
_cell_angle_alpha 90.00
_cell_angle_beta 90.00
_cell_angle_gamma 90.00
_space_group_name_H-M_alt 'P 4/m m m'
_space_group_IT_number 123
_space_group_name_Hall '-P 4 2'
loop_
_atom_site_label
_atom_site_type_symbol
_atom_site_fract_x
_atom_site_fract_y
_atom_site_fract_z
Ti1 Ti 0.000 0.000 0.153
Ti2 Ti 0.500 0.500 0.308
Cd1 Cd 0.000 0.000 0.500
Pd1 Pd 0.500 0.500 0.000
```

***

Record 3
Na6B11C: computed XRD peak list (a wavelength of 1.5418 Å), based on a structure optimized by DFT (GGA-PBE).
Lines closer than 0.1° are merged.

Most intense lines, 10 to 90 degrees two-theta, sorted by position:
2theta  d (Å)  I_rel  h k l
33.9  2.646  12  6 0 -2
34.9  2.570  19  3 1 -1
39.9  2.261  25  6 0 -4
40.0  2.254  25  6 0 0
40.8  2.209  100  3 1 1
41.8  2.163  35  0 0 4
55.5  1.655  10  3 1 3
61.3  1.513  18  9 1 -3
63.3  1.470  8  0 2 0
76.8  1.241  9  9 1 -7
77.0  1.238  9  9 1 1
77.5  1.232  11  6 2 0

Structural model:
```
data_Na6B11C
_chemical_formula_sum 'Na12 B22 C2'
_cell_length_a 15.876
_cell_length_b 2.940
_cell_length_c 10.157
_cell_angle_alpha 90.00
_cell_angle_beta 121.59
_cell_angle_gamma 90.00
_space_group_name_H-M_alt 'C 1 m 1'
_space_group_IT_number 8
_space_group_name_Hall 'C -2y'
loop_
_atom_site_label
_atom_site_type_symbol
_atom_site_fract_x
_atom_site_fract_y
_atom_site_fract_z
Na1 Na 0.000 0.000 0.000
Na2 Na 0.001 0.500 0.501
Na3 Na 0.166 0.500 0.997
Na4 Na 0.167 0.000 0.501
Na5 Na 0.334 0.000 0.000
Na6 Na 0.335 0.500 0.504
B1 B 0.027 0.000 0.750
B2 B 0.032 0.500 0.251
B3 B 0.139 0.500 0.250
B4 B 0.140 0.000 0.751
B5 B 0.195 0.500 0.752
B6 B 0.207 0.000 0.251
B7 B 0.306 0.500 0.750
B8 B 0.356 0.500 0.251
B9 B 0.361 0.000 0.750
B10 B 0.466 0.500 0.251
B11 B 0.473 0.000 0.750
C1 C 0.305 0.000 0.251
```

***

Record 4
Tl2AsF6: computed XRD peak list (a wavelength of 1.5418 Å), based on a structure optimized by DFT (GGA-PBE).
Lines closer than 0.1° are merged.

Most intense lines, 10 to 90 degrees two-theta, sorted by position:
2theta  d (Å)  I_rel  h k l
17.4  5.094  12  1 1 1
20.1  4.411  45  2 0 0
28.6  3.119  100  2 2 0
35.2  2.547  37  2 2 2
40.9  2.206  33  4 0 0
46.0  1.973  25  4 2 0
50.7  1.801  41  4 2 2
59.2  1.560  21  4 4 0
63.2  1.470  13  4 4 2
67.1  1.395  20  6 2 0
70.8  1.330  12  6 2 2
81.7  1.179  23  6 4 2

Structural model:
```
data_Tl2AsF6
_chemical_formula_sum 'Tl8 As4 F24'
_cell_length_a 8.822
_cell_length_b 8.822
_cell_length_c 8.822
_cell_angle_alpha 90.00
_cell_angle_beta 90.00
_cell_angle_gamma 90.00
_space_group_name_H-M_alt 'F m -3 m'
_space_group_IT_number 225
_space_group_name_Hall '-F 4 2 3'
loop_
_atom_site_label
_atom_site_type_symbol
_atom_site_fract_x
_atom_site_fract_y
_atom_site_fract_z
Tl1 Tl 0.250 0.250 0.250
As1 As 0.000 0.000 0.000
F1 F 0.000 0.000 0.218
```

***

What did the first record say?
CsYTe2: computed XRD peak list (a wavelength of 1.5418 Å), based on a structure optimized by DFT (GGA-PBE).
Lines closer than 0.1° are merged.

Most intense lines, 10 to 90 degrees two-theta, sorted by position:
2theta  d (Å)  I_rel  h k l
22.8  3.892  71  1 1 2
24.4  3.646  58  0 1 3
26.4  3.382  79  2 1 0
26.5  3.365  73  1 1 3
27.1  3.289  100  2 0 3
31.5  2.844  23  2 0 4
33.6  2.669  63  0 2 0
35.6  2.519  41  3 0 3
41.3  2.188  54  1 1 6
43.7  2.072  54  2 2 3
46.7  1.946  23  2 2 4
51.2  1.786  24  3 1 6

Structural model:
```
data_CsYTe2
_chemical_formula_sum 'Cs4 Y4 Te8'
_cell_length_a 8.742
_cell_length_b 5.337
_cell_length_c 14.978
_cell_angle_alpha 90.00
_cell_angle_beta 90.00
_cell_angle_gamma 90.00
_space_group_name_H-M_alt 'P n m a'
_space_group_IT_number 62
_space_group_name_Hall '-P 2ac 2n'
loop_
_atom_site_label
_atom_site_type_symbol
_atom_site_fract_x
_atom_site_fract_y
_atom_site_fract_z
Cs1 Cs 0.102 0.250 0.130
Y1 Y 0.069 0.750 0.384
Te1 Te 0.157 0.250 0.760
Te2 Te 0.172 0.250 0.463
```